No. 1
The following is a computed powder diffraction line list of Y2Al3Ga3B8O24. It was derived from a cell relaxed with GGA-PBE, using copper Kα.
Lines closer than 0.1° are merged.

The 10 most intense peaks (5 to 70 degrees two-theta), by angle:
two_theta, Rel. int., (hkl)
16.13, 25, 1 0 -1
18.77, 31, 0 1 1
24.83, 97, 1 -1 2
31.28, 36, 1 -2 1
32.50, 100, 0 0 4
32.60, 53, 2 0 -2
38.08, 31, 2 0 2
46.84, 34, 0 3 -1
53.65, 20, 3 1 -2
54.16, 19, 0 2 -6

Structure:
```
Y2Al3Ga3B8O24
1.0
5.9825 0.0000 0.0000
-1.4608 5.8245 0.0000
-1.5968 -2.0806 11.0092
Y Al Ga B O
2 3 3 8 24
Direct
0.0000 0.0000 0.0000
0.4994 0.5022 0.5002
0.3308 0.7780 0.7797
0.4468 0.5578 0.9998
0.8311 0.2800 0.2763
0.2251 0.6753 0.2237
0.7235 0.1745 0.7270
0.9505 0.0539 0.4998
0.0298 0.5834 0.5292
0.2528 0.2547 0.7544
0.3076 0.2007 0.2499
0.4219 0.9747 0.4736
0.5276 0.0879 0.0282
0.7505 0.7527 0.2481
0.8042 0.6967 0.7515
0.9180 0.4768 0.9744
0.0316 0.7845 0.8139
0.0343 0.1836 0.6796
0.1423 0.5545 0.0429
0.1555 0.3420 0.2516
0.2152 0.9771 0.1834
0.2367 0.6383 0.6120
0.2781 0.1204 0.4850
0.3283 0.4767 0.8266
0.3683 0.7640 0.3952
0.3870 0.2376 0.0136
0.3921 0.1001 0.7549
0.4531 0.8659 0.9552
0.5331 0.6783 0.1719
0.5341 0.2905 0.3132
0.6397 0.0460 0.5476
0.6545 0.8402 0.7561
0.7097 0.4741 0.6842
0.7363 0.1418 0.1100
0.7674 0.6158 0.9871
0.8228 0.9758 0.3189
0.8657 0.2637 0.8976
0.8833 0.7273 0.5158
0.8934 0.6020 0.2528
0.9590 0.3677 0.4514
```



No. 2
The following is a computed powder diffraction line list of Hf5NiIr2. It was derived from a cell relaxed with GGA-PBE, using copper Kα.
Lines closer than 0.1° are merged.

The 10 most intense peaks (5 to 70 degrees two-theta), by angle:
two_theta, Rel. int., (hkl)
29.82, 14, 1 2 1
35.29, 100, 2 1 1
36.17, 20, 1 4 0
37.11, 18, 2 3 0
38.23, 30, 2 2 1
39.56, 39, 0 4 1
41.82, 34, 0 0 2
41.98, 13, 3 1 0
56.47, 14, 1 4 2
64.43, 12, 3 5 1

Structure:
```
Hf5NiIr2
1.0
6.5901 0.0000 0.0000
0.0000 10.7238 0.0000
0.0000 0.0000 4.3199
Hf Ni Ir
10 2 4
Direct
0.0000 0.0000 0.0000
0.1550 0.2870 0.0000
0.1760 0.5891 0.5000
0.3240 0.0891 0.5000
0.3450 0.7870 0.0000
0.5000 0.5000 0.0000
0.6550 0.2130 0.0000
0.6760 0.9109 0.5000
0.8240 0.4109 0.5000
0.8450 0.7130 0.0000
0.0000 0.5000 0.0000
0.5000 0.0000 0.0000
0.0677 0.8420 0.5000
0.4323 0.3420 0.5000
0.5677 0.6580 0.5000
0.9323 0.1580 0.5000
```